Record 1
Structure and calculated powder X-ray diffraction pattern of Er4Tm6Zr (a PBE-relaxed structure; Cu Kα (weighted mean of Kα1 and Kα2)).

Atomic structure:
Cell: 8.6449 8.6449 8.7246 Å, 90.00 90.00 90.00°
Space group P4/mnc (No. 128)
One atom of each set of equivalent atoms:
Er 0.1463 0.3537 0.2500
Tm 0.0000 0.0000 0.1733
Tm 0.1513 0.6528 0.5000
Zr 0.0000 0.0000 0.5000

Principal peaks in the range 5° ≤ 2θ ≤ 70°, most intense first:
- 30.91°, intensity 100, (2 1 2)
- 32.76°, intensity 57, (3 1 0)
- 61.56°, intensity 22, (5 2 2)
- 48.15°, intensity 11, (4 1 2)
- 53.76°, intensity 11, (3 1 4)
- 69.00°, intensity 10, (2 1 6)
- 62.36°, intensity 10, (3 3 4)
- 41.40°, intensity 9, (0 0 4)
- 38.75°, intensity 9, (2 1 3)
- 60.29°, intensity 9, (4 0 4)
- 47.01°, intensity 9, (4 2 0)
- 29.22°, intensity 8, (2 2 0)

***

Record 2
Structure and calculated powder X-ray diffraction pattern of Er5Tm5Zr (a PBE-relaxed structure; Cu Kα (weighted mean of Kα1 and Kα2)).

Atomic structure:
Cell: 18.3461 5.7771 6.8111 Å, 90.00 111.56 90.00°
Space group C2/m (No. 12)
One atom of each set of equivalent atoms:
Er 0.0000 0.0000 0.0000
Er 0.1284 0.5000 0.1296
Er 0.1758 0.5000 0.6767
Tm 0.0000 0.5000 0.5000
Tm 0.1723 0.0000 0.4316
Tm 0.1726 0.0000 0.9133
Zr 0.0000 0.0000 0.5000

Principal peaks in the range 5° ≤ 2θ ≤ 70°, most intense first:
- 30.95°, intensity 100, (0 2 0)
- 34.34°, intensity 59, (1 1 2)
- 34.45°, intensity 58, (5 1 -2)
- 31.46°, intensity 44, (6 0 0)
- 44.72°, intensity 33, (6 2 0)
- 57.30°, intensity 27, (1 3 2)
- 29.14°, intensity 24, (3 1 1)
- 28.22°, intensity 20, (4 0 -2)
- 63.41°, intensity 18, (4 2 -4)
- 53.85°, intensity 17, (4 0 -4)
- 29.27°, intensity 17, (6 0 -1)
- 37.64°, intensity 13, (5 1 1)

***

Record 3
Structure and calculated powder X-ray diffraction pattern of Er3Tm3Zr (a PBE-relaxed structure; Cu Kα (weighted mean of Kα1 and Kα2)).

Atomic structure:
Cell: 6.0188 6.0212 13.9638 Å, 90.06 102.36 119.94°
Space group P-1 (No. 2)
One atom of each set of equivalent atoms:
Er 0.0663 0.3678 0.1036
Er 0.2643 0.3004 0.8964
Er 0.4043 0.0366 0.1038
Tm 0.1243 0.8967 0.6854
Tm 0.2102 0.7723 0.3148
Tm 0.4603 0.5626 0.6862
Zr 0.3335 0.1676 0.4999

Principal peaks in the range 5° ≤ 2θ ≤ 70°, most intense first:
- 32.55°, intensity 100, (1 1 -3)
- 35.86°, intensity 48, (1 1 2)
- 33.11°, intensity 30, (0 0 5)
- 52.65°, intensity 27, (3 0 -2)
- 56.58°, intensity 23, (-1 2 7)
- 63.61°, intensity 23, (3 0 3)
- 29.67°, intensity 19, (1 1 -1)
- 30.41°, intensity 12, (2 -1 0)
- 45.05°, intensity 12, (1 1 -6)
- 63.27°, intensity 11, (2 2 0)
- 6.53°, intensity 11, (0 0 1)
- 40.07°, intensity 10, (1 -2 4)

***

Record 4
Structure and calculated powder X-ray diffraction pattern of Er2Tm3Zr (a PBE-relaxed structure; Cu Kα (weighted mean of Kα1 and Kα2)).

Atomic structure:
Cell: 6.9195 3.4264 14.5513 Å, 90.00 90.03 90.00°
Space group P2_1/m (No. 11)
One atom of each set of equivalent atoms:
Er 0.1167 0.2500 0.4104
Er 0.3651 0.7500 0.9118
Tm 0.1161 0.2500 0.0900
Tm 0.3652 0.7500 0.5886
Tm 0.3789 0.7500 0.2499
Zr 0.1274 0.2500 0.7501

Principal peaks in the range 5° ≤ 2θ ≤ 70°, most intense first:
- 31.77°, intensity 100, (2 0 3)
- 31.98°, intensity 99, (0 1 3)
- 36.92°, intensity 67, (2 1 0)
- 53.32°, intensity 46, (2 1 6)
- 63.55°, intensity 40, (2 2 3)
- 37.07°, intensity 33, (0 0 6)
- 63.19°, intensity 27, (4 1 3)
- 63.64°, intensity 13, (0 1 9)
- 53.49°, intensity 12, (0 2 0)
- 52.93°, intensity 12, (4 0 0)
- 66.86°, intensity 12, (0 2 6)
- 66.38°, intensity 11, (4 0 6)

***

Record 5
Structure and calculated powder X-ray diffraction pattern of Er4Tm3Zr (a PBE-relaxed structure; Cu Kα (weighted mean of Kα1 and Kα2)).

Atomic structure:
Cell: 3.4637 6.0329 11.6896 Å, 104.92 98.47 90.02°
Space group P-1 (No. 2)
One atom of each set of equivalent atoms:
Er 0.1216 0.2843 0.2415
Er 0.2475 0.7495 0.4957
Tm 0.0000 0.5000 0.0000
Tm 0.3774 0.2054 0.7558
Zr 0.5000 0.0000 0.0000

Principal peaks in the range 5° ≤ 2θ ≤ 70°, most intense first:
- 33.89°, intensity 100, (-1 1 2)
- 32.07°, intensity 53, (0 0 4)
- 33.78°, intensity 52, (0 2 -3)
- 30.83°, intensity 52, (1 1 -2)
- 62.97°, intensity 31, (1 3 2)
- 58.31°, intensity 28, (0 2 -7)
- 38.52°, intensity 28, (1 1 2)
- 52.63°, intensity 27, (1 3 -2)
- 30.70°, intensity 25, (0 2 0)
- 64.22°, intensity 16, (2 2 -4)
- 63.19°, intensity 15, (2 0 3)
- 38.42°, intensity 13, (0 2 -4)

***

Record 6
Structure and calculated powder X-ray diffraction pattern of Er6Tm4Zr (a PBE-relaxed structure; Cu Kα (weighted mean of Kα1 and Kα2)).

Atomic structure:
Cell: 8.6501 8.6501 8.7486 Å, 90.00 90.00 90.00°
Space group P4/mnc (No. 128)
One atom of each set of equivalent atoms:
Er 0.0000 0.0000 0.1737
Er 0.1512 0.3468 0.5000
Tm 0.1459 0.6459 0.2500
Zr 0.0000 0.0000 0.5000

Principal peaks in the range 5° ≤ 2θ ≤ 70°, most intense first:
- 30.86°, intensity 100, (2 1 2)
- 32.74°, intensity 56, (3 1 0)
- 61.50°, intensity 22, (5 2 2)
- 53.65°, intensity 11, (3 1 4)
- 48.10°, intensity 10, (4 1 2)
- 68.81°, intensity 10, (2 1 6)
- 62.25°, intensity 10, (3 3 4)
- 41.28°, intensity 9, (0 0 4)
- 60.18°, intensity 9, (4 0 4)
- 38.67°, intensity 9, (2 1 3)
- 46.98°, intensity 8, (4 2 0)
- 29.20°, intensity 8, (2 2 0)

***

Record 7
Structure and calculated powder X-ray diffraction pattern of Er8Tm3Zr (a PBE-relaxed structure; Cu Kα (weighted mean of Kα1 and Kα2)).

Atomic structure:
Cell: 12.1593 7.0104 9.2752 Å, 90.00 116.00 90.00°
Space group C2/m (No. 12)
One atom of each set of equivalent atoms:
Er 0.0278 0.2465 0.3292
Er 0.2222 0.0000 0.6674
Er 0.2258 0.5000 0.6708
Tm 0.0000 0.5000 0.0000
Tm 0.2500 0.2500 0.0000
Zr 0.0000 0.0000 0.0000

Principal peaks in the range 5° ≤ 2θ ≤ 70°, most intense first:
- 32.78°, intensity 100, (2 2 -2)
- 34.55°, intensity 81, (2 2 1)
- 32.21°, intensity 48, (0 0 3)
- 52.15°, intensity 37, (0 4 0)
- 29.62°, intensity 33, (4 0 -1)
- 62.66°, intensity 29, (6 2 1)
- 30.28°, intensity 20, (4 0 -2)
- 41.45°, intensity 16, (4 0 -4)
- 60.08°, intensity 15, (2 2 4)
- 56.62°, intensity 15, (2 2 -5)
- 62.58°, intensity 14, (6 2 -5)
- 64.07°, intensity 14, (8 0 -1)

***

Record 8
Structure and calculated powder X-ray diffraction pattern of ErV2W (a PBE-relaxed structure; Cu Kα (weighted mean of Kα1 and Kα2)).

Atomic structure:
Cell: 3.1989 3.1989 6.9459 Å, 90.00 90.00 90.00°
Space group P4/mmm (No. 123)
One atom of each set of equivalent atoms:
Er 0.0000 0.0000 0.0000
V 0.5000 0.5000 0.3032
W 0.0000 0.0000 0.5000

Principal peaks in the range 5° ≤ 2θ ≤ 70°, most intense first:
- 38.25°, intensity 100, (1 0 2)
- 39.85°, intensity 49, (1 1 0)
- 27.89°, intensity 38, (1 0 0)
- 25.65°, intensity 28, (0 0 2)
- 48.00°, intensity 21, (1 1 2)
- 57.63°, intensity 16, (2 0 0)
- 60.68°, intensity 15, (1 0 4)
- 68.07°, intensity 14, (1 1 4)
- 64.10°, intensity 9, (2 0 2)
- 65.22°, intensity 8, (2 1 0)
- 52.71°, intensity 8, (0 0 4)
- 12.74°, intensity 5, (0 0 1)

***

Record 9
Structure and calculated powder X-ray diffraction pattern of ErZrW (a PBE-relaxed structure; Cu Kα (weighted mean of Kα1 and Kα2)).

Atomic structure:
Cell: 3.2227 3.2227 27.2520 Å, 90.00 90.00 90.00°
Space group I4/mmm (No. 139)
One atom of each set of equivalent atoms:
Er 0.0000 0.0000 0.0627
Zr 0.0000 0.0000 0.3459
W 0.0000 0.0000 0.2233

Principal peaks in the range 5° ≤ 2θ ≤ 70°, most intense first:
- 36.18°, intensity 100, (1 0 7)
- 6.49°, intensity 60, (0 0 2)
- 39.55°, intensity 47, (1 1 0)
- 69.55°, intensity 30, (2 1 7)
- 27.88°, intensity 20, (1 0 1)
- 57.17°, intensity 16, (2 0 0)
- 46.22°, intensity 13, (1 0 11)
- 19.54°, intensity 12, (0 0 6)
- 62.78°, intensity 11, (1 1 14)
- 12.99°, intensity 8, (0 0 4)
- 64.98°, intensity 8, (1 0 17)
- 52.33°, intensity 7, (1 1 10)

***

Record 10
Structure and calculated powder X-ray diffraction pattern of Y3Er4 (a PBE-relaxed structure; Cu Kα (weighted mean of Kα1 and Kα2)).

Atomic structure:
Cell: 9.5501 9.5501 5.6135 Å, 90.00 90.00 120.00°
Space group P6_3/m (No. 176)
One atom of each set of equivalent atoms:
Y 0.0486 0.8083 0.2500
Er 0.0956 0.6173 0.7500
Er 0.3333 0.6667 0.2500

Principal peaks in the range 5° ≤ 2θ ≤ 70°, most intense first:
- 32.79°, intensity 100, (1 2 1)
- 28.55°, intensity 24, (1 2 0)
- 31.88°, intensity 24, (0 0 2)
- 61.04°, intensity 22, (4 1 2)
- 57.39°, intensity 20, (1 2 3)
- 50.57°, intensity 19, (4 1 0)
- 61.59°, intensity 16, (2 4 1)
- 43.32°, intensity 16, (1 2 2)
- 10.70°, intensity 11, (1 0 0)
- 68.74°, intensity 4, (2 4 2)
- 59.11°, intensity 3, (2 4 0)
- 66.64°, intensity 3, (0 0 4)

***

Record 11
Structure and calculated powder X-ray diffraction pattern of Y5Er7 (a PBE-relaxed structure; Cu Kα (weighted mean of Kα1 and Kα2)).

Atomic structure:
Cell: 18.4448 3.5487 12.9989 Å, 90.00 118.25 90.00°
Space group C2/m (No. 12)
One atom of each set of equivalent atoms:
Y 0.0000 0.0000 0.0000
Y 0.1660 0.0000 0.4989
Y 0.1952 0.5000 0.7513
Er 0.0000 0.5000 0.5000
Er 0.0275 0.0000 0.7498
Er 0.1383 0.5000 0.2491
Er 0.1661 0.5000 0.9983

Principal peaks in the range 5° ≤ 2θ ≤ 70°, most intense first:
- 33.08°, intensity 100, (3 1 1)
- 30.10°, intensity 48, (6 0 -3)
- 31.25°, intensity 35, (0 0 4)
- 61.48°, intensity 30, (9 1 1)
- 37.57°, intensity 27, (6 0 1)
- 51.50°, intensity 26, (0 2 0)
- 56.78°, intensity 21, (3 1 5)
- 62.58°, intensity 16, (12 0 -2)
- 49.64°, intensity 13, (6 0 -7)
- 60.81°, intensity 7, (6 2 -3)
- 29.05°, intensity 6, (6 0 -2)
- 64.54°, intensity 5, (6 0 5)

***

Record 12
Structure and calculated powder X-ray diffraction pattern of Y4Er5 (a PBE-relaxed structure; Cu Kα (weighted mean of Kα1 and Kα2)).

Atomic structure:
Cell: 3.6043 12.0492 12.9906 Å, 90.00 90.00 90.00°
Space group Immm (No. 71)
One atom of each set of equivalent atoms:
Y 0.0000 0.1441 0.1894
Er 0.0000 0.2058 0.5000
Er 0.0000 0.5000 0.1253
Er 0.0000 0.5000 0.5000

Principal peaks in the range 5° ≤ 2θ ≤ 70°, most intense first:
- 32.32°, intensity 100, (1 0 3)
- 30.35°, intensity 94, (0 3 3)
- 33.40°, intensity 93, (1 3 0)
- 53.03°, intensity 32, (1 4 5)
- 29.68°, intensity 28, (0 4 0)
- 60.20°, intensity 27, (2 3 3)
- 32.77°, intensity 25, (0 4 2)
- 31.29°, intensity 20, (0 2 4)
- 35.34°, intensity 19, (0 1 5)
- 38.00°, intensity 18, (0 5 1)
- 54.46°, intensity 18, (1 3 6)
- 50.65°, intensity 18, (2 0 0)

***

Record 13
Structure and calculated powder X-ray diffraction pattern of Y2Er13 (a PBE-relaxed structure; Cu Kα (weighted mean of Kα1 and Kα2)).

Atomic structure:
Cell: 8.7895 8.7895 23.6977 Å, 90.00 90.00 120.00°
Space group R-3m (No. 166, hexagonal axes)
One atom of each set of equivalent atoms:
Y 0.0000 0.0000 0.2418
Er 0.0000 0.0000 0.5000
Er 0.0887 0.5444 0.3026
Er 0.0934 0.5467 0.5592

Principal peaks in the range 5° ≤ 2θ ≤ 70°, most intense first:
- 34.66°, intensity 100, (2 1 4)
- 23.68°, intensity 83, (0 2 1)
- 37.22°, intensity 75, (0 3 3)
- 32.43°, intensity 52, (0 1 8)
- 28.86°, intensity 33, (1 0 7)
- 59.30°, intensity 32, (3 0 12)
- 18.98°, intensity 31, (1 0 4)
- 53.11°, intensity 24, (1 2 11)
- 61.66°, intensity 24, (2 3 8)
- 63.51°, intensity 22, (3 3 0)
- 41.12°, intensity 21, (2 2 0)
- 35.49°, intensity 20, (0 2 7)